(1)
Diffraction record for ReHgNO. The powder diffractogram is calculated, not measured: it uses a cell relaxed with PBE and Cu Kα.
No peak broadening, texture or thermal motion is included.

Atomic structure:
Cell: 3.2046 7.9195 6.0688 Å, 90.00 90.00 90.00°
Space group Pmc2_1 (No. 26)
Asymmetric unit:
Re  0.0000  0.1274  0.0000 [2 per cell]
Hg  0.5000  0.3628  0.4965 [2 per cell]
N  0.0000  0.0013  0.2514 [2 per cell]
O  0.5000  0.2619  0.9964 [2 per cell]

Main lines, by intensity (10 to 90 degrees two-theta):
2theta, d/Å, intensity, h k l
26.9, 3.316, 1000, 0 2 1
33.6, 2.668, 564, 1 1 1
29.4, 3.034, 416, 0 0 2
30.1, 2.971, 394, 1 1 0
42.6, 2.123, 253, 1 1 2
54.2, 1.692, 211, 1 3 2
47.0, 1.932, 186, 1 3 1
50.7, 1.801, 181, 0 2 3
64.6, 1.443, 177, 2 2 1
44.5, 2.038, 163, 1 3 0

=====

(2)
Diffraction record for NaCu3MoSe4. The powder diffractogram is calculated, not measured: it uses a cell relaxed with PBE and Cu Kα.
No peak broadening, texture or thermal motion is included.

Atomic structure:
Cell: 5.9171 5.9171 5.9171 Å, 90.00 90.00 90.00°
Space group P-43m (No. 215)
Asymmetric unit:
Na  0.0000  0.0000  0.0000 [1 per cell]
Cu  0.0000  0.5000  0.5000 [3 per cell]
Mo  0.5000  0.5000  0.5000 [1 per cell]
Se  0.2637  0.2637  0.2637 [4 per cell]

Main lines, by intensity (10 to 90 degrees two-theta):
2theta, d/Å, intensity, h k l
43.2, 2.092, 1000, 2 2 0
26.1, 3.416, 766, 1 1 1
15.0, 5.917, 527, 1 0 0
51.2, 1.784, 329, 3 1 1
79.3, 1.208, 298, 4 2 2
62.8, 1.479, 153, 4 0 0
33.9, 2.646, 132, 2 1 0
69.2, 1.357, 122, 3 3 1
46.0, 1.972, 120, 2 2 1
56.0, 1.641, 110, 3 2 0

=====

(3)
Diffraction record for Na4NbS4. The powder diffractogram is calculated, not measured: it uses a cell relaxed with PBE and Cu Kα.
No peak broadening, texture or thermal motion is included.

Atomic structure:
Cell: 7.8186 7.8186 6.9583 Å, 90.00 90.00 90.00°
Space group P-42_1c (No. 114)
Asymmetric unit:
Na  0.0907  0.3020  0.4683 [8 per cell]
Nb  0.0000  0.0000  0.0000 [2 per cell]
S  0.0905  0.7639  0.8149 [8 per cell]

Main lines, by intensity (10 to 90 degrees two-theta):
2theta, d/Å, intensity, h k l
28.6, 3.124, 1000, 2 1 1
17.1, 5.198, 968, 1 0 1
36.4, 2.469, 527, 3 1 0
47.0, 1.933, 434, 2 1 3
16.0, 5.529, 376, 1 1 0
45.0, 2.015, 314, 3 1 2
38.6, 2.330, 252, 3 1 1
26.1, 3.408, 215, 2 0 1
60.7, 1.526, 214, 5 0 1
34.5, 2.599, 188, 2 0 2

=====

(4)
Diffraction record for Sr2ZrReN6. The powder diffractogram is calculated, not measured: it uses a cell relaxed with PBE and Cu Kα.
No peak broadening, texture or thermal motion is included.

Atomic structure:
Cell: 5.8259 5.8215 10.0948 Å, 90.00 125.25 90.00°
Space group P2_1/c (No. 14)
Asymmetric unit:
Sr  0.2501  0.0003  0.2501 [4 per cell]
Zr  0.0000  0.0000  0.5000 [2 per cell]
Re  0.5000  0.0000  0.0000 [2 per cell]
N  0.2516  0.2325  0.9952 [4 per cell]
N  0.2625  0.7437  0.4950 [4 per cell]
N  0.2716  0.0007  0.7618 [4 per cell]

Main lines, by intensity (10 to 90 degrees two-theta):
2theta, d/Å, intensity, h k l
30.7, 2.913, 1000, 1 1 1
54.6, 1.682, 401, 2 0 -6
44.0, 2.060, 283, 0 0 4
88.9, 1.101, 180, 4 2 -8
72.6, 1.303, 176, 1 1 5
63.9, 1.456, 175, 2 2 2
21.6, 4.119, 114, 0 0 2
18.7, 4.756, 110, 1 0 0
80.8, 1.189, 59, 4 0 0
36.2, 2.484, 56, 1 0 -4